1.
Diffraction record for LaY3Te4. The powder diffraction line list is computed, not measured: it uses a cell relaxed with PBE and Cu Ka.
Peak positions follow from Bragg's law for the DFT cell and can differ from measured ones.

Main lines, most intense first (5 to 70 degrees two-theta):
- (1 0 6), d = 3.001 Å, 29.77°, I = 1000
- (1 0 5), d = 3.186 Å, 28.01°, I = 947
- (1 1 0), d = 2.181 Å, 41.40°, I = 762
- (1 0 11), d = 2.194 Å, 41.15°, I = 366
- (1 1 16), d = 1.412 Å, 66.19°, I = 317
- (1 0 10), d = 2.332 Å, 38.61°, I = 241
- (2 0 6), d = 1.764 Å, 51.83°, I = 209
- (2 0 5), d = 1.800 Å, 50.73°, I = 180
- (2 1 6), d = 1.372 Å, 68.40°, I = 179
- (2 1 5), d = 1.388 Å, 67.48°, I = 150

Cell and atoms:
abc: 4.3617 4.3617 29.6388
angles: 90.00 90.00 120.00
Space group P6_3/mmc (No. 194)
Unique sites:
La 0.3333 0.6667 0.2500 [2 per cell]
Y 0.0000 0.0000 0.0000 [2 per cell]
Y 0.3333 0.6667 0.6211 [4 per cell]
Te 0.0000 0.0000 0.1809 [4 per cell]
Te 0.3333 0.6667 0.0605 [4 per cell]

2.
Diffraction record for LiTl2F7. The powder diffraction line list is computed, not measured: it uses a cell relaxed with PBE and Cu Ka.
Peak positions follow from Bragg's law for the DFT cell and can differ from measured ones.

Main lines, most intense first (5 to 70 degrees two-theta):
- (1 0 1), d = 3.426 Å, 26.01°, I = 1000
- (0 0 6), d = 4.978 Å, 17.82°, I = 887
- (1 1 0), d = 1.991 Å, 45.56°, I = 587
- (0 1 2), d = 3.361 Å, 26.52°, I = 467
- (0 1 8), d = 2.533 Å, 35.43°, I = 396
- (1 1 6), d = 1.849 Å, 49.29°, I = 392
- (0 1 5), d = 2.987 Å, 29.92°, I = 378
- (0 1 14), d = 1.814 Å, 50.29°, I = 366
- (1 0 7), d = 2.682 Å, 33.41°, I = 294
- (1 0 13), d = 1.912 Å, 47.56°, I = 198

Cell and atoms:
abc: 3.9826 3.9826 29.8652
angles: 90.00 90.00 120.00
Space group R-3m (No. 166, hexagonal axes)
Unique sites:
Li 0.0000 0.0000 0.0000 [3 per cell]
Tl 0.0000 0.0000 0.4275 [6 per cell]
F 0.0000 0.0000 0.0713 [6 per cell]
F 0.0000 0.0000 0.2209 [6 per cell]
F 0.0000 0.0000 0.3568 [6 per cell]
F 0.0000 0.0000 0.5000 [3 per cell]

3.
Diffraction record for AlCu2Ni4. The powder diffraction line list is computed, not measured: it uses a cell relaxed with PBE and Cu Ka.
Peak positions follow from Bragg's law for the DFT cell and can differ from measured ones.

Main lines, most intense first (5 to 70 degrees two-theta):
- (1 1 -3), d = 2.063 Å, 43.89°, I = 1000
- (0 2 0), d = 1.810 Å, 50.41°, I = 325
- (3 0 -2), d = 1.742 Å, 52.54°, I = 142
- (1 0 1), d = 4.307 Å, 20.62°, I = 18
- (1 1 0), d = 3.025 Å, 29.53°, I = 16
- (0 0 1), d = 7.975 Å, 11.10°, I = 16
- (0 1 1), d = 3.297 Å, 27.04°, I = 12
- (1 0 -1), d = 4.786 Å, 18.54°, I = 12
- (1 0 -2), d = 3.416 Å, 26.08°, I = 8
- (1 1 -1), d = 2.888 Å, 30.97°, I = 6

Cell and atoms:
abc: 5.535 3.621 8.026
angles: 90.00 96.46 90.00
Space group P2_1/m (No. 11)
Unique sites:
Al 0.205 0.250 0.318 [2 per cell]
Cu 0.067 0.750 0.103 [2 per cell]
Cu 0.356 0.750 0.539 [2 per cell]
Ni 0.075 0.250 0.610 [2 per cell]
Ni 0.223 0.750 0.822 [2 per cell]
Ni 0.362 0.250 0.035 [2 per cell]
Ni 0.495 0.750 0.247 [2 per cell]

4.
Diffraction record for Gd5Tm. The powder diffraction line list is computed, not measured: it uses a cell relaxed with PBE and Cu Ka.
Peak positions follow from Bragg's law for the DFT cell and can differ from measured ones.

Main lines, most intense first (5 to 70 degrees two-theta):
- (1 3 1), d = 2.912 Å, 30.70°, I = 1000
- (2 0 0), d = 2.527 Å, 35.53°, I = 340
- (3 3 1), d = 1.523 Å, 60.83°, I = 287
- (2 6 0), d = 1.781 Å, 51.29°, I = 240
- (0 6 0), d = 2.512 Å, 35.75°, I = 167
- (1 9 1), d = 1.516 Å, 61.12°, I = 141
- (2 6 2), d = 1.456 Å, 63.94°, I = 123
- (2 0 2), d = 1.787 Å, 51.12°, I = 121

Cell and atoms:
abc: 5.050 15.071 5.057
angles: 90.00 90.00 90.00
Space group Cmmm (No. 65)
Unique sites:
Gd 0.000 0.000 0.000 [2 per cell]
Gd 0.000 0.165 0.500 [4 per cell]
Gd 0.000 0.334 0.000 [4 per cell]
Tm 0.000 0.500 0.500 [2 per cell]

5.
Diffraction record for Li2TbTl2. The powder diffraction line list is computed, not measured: it uses a cell relaxed with PBE and Cu Ka.
Peak positions follow from Bragg's law for the DFT cell and can differ from measured ones.

Main lines, most intense first (5 to 70 degrees two-theta):
- (1 1 1), d = 2.958 Å, 30.22°, I = 1000
- (3 1 -1), d = 2.570 Å, 34.91°, I = 663
- (2 0 -1), d = 4.043 Å, 21.99°, I = 397
- (0 2 0), d = 2.520 Å, 35.63°, I = 373
- (1 1 -2), d = 2.312 Å, 38.95°, I = 358
- (2 0 0), d = 4.249 Å, 20.90°, I = 248
- (1 1 -1), d = 3.593 Å, 24.78°, I = 235
- (2 0 -2), d = 2.562 Å, 35.03°, I = 227
- (4 0 0), d = 2.125 Å, 42.55°, I = 210
- (4 2 -3), d = 1.359 Å, 69.14°, I = 191

Cell and atoms:
abc: 9.185 5.040 5.231
angles: 90.00 112.28 90.00
Space group C2/m (No. 12)
Unique sites:
Li 0.113 0.000 0.236 [4 per cell]
Tb 0.000 0.500 0.500 [2 per cell]
Tl 0.244 0.000 0.809 [4 per cell]

6.
Diffraction record for La3YTm. The powder diffraction line list is computed, not measured: it uses a cell relaxed with PBE and Cu Ka.
Peak positions follow from Bragg's law for the DFT cell and can differ from measured ones.

Main lines, most intense first (5 to 70 degrees two-theta):
- (4 2 1), d = 3.018 Å, 29.60°, I = 1000
- (2 2 2), d = 2.759 Å, 32.45°, I = 451
- (2 4 0), d = 3.144 Å, 28.39°, I = 432
- (4 4 0), d = 2.582 Å, 34.74°, I = 296
- (0 2 2), d = 2.947 Å, 30.33°, I = 279
- (2 0 0), d = 7.840 Å, 11.29°, I = 273
- (2 4 1), d = 2.833 Å, 31.59°, I = 254
- (0 4 2), d = 2.365 Å, 38.05°, I = 252
- (6 2 2), d = 1.955 Å, 46.44°, I = 241
- (0 0 2), d = 3.264 Å, 27.33°, I = 210

Cell and atoms:
abc: 15.680 13.729 6.527
angles: 90.00 90.00 90.00
Space group Cmcm (No. 63)
Unique sites:
La 0.103 0.145 0.250 [8 per cell]
La 0.105 0.357 0.750 [8 per cell]
La 0.250 0.208 0.750 [8 per cell]
Y 0.000 0.090 0.750 [4 per cell]
Y 0.000 0.409 0.250 [4 per cell]
Tm 0.246 0.000 0.000 [8 per cell]